# 1
This entry pairs a crystal structure of ErSbN2O with its simulated XRD peak list. Radiation: Cu Kα. Structure: a crystal structure in OQMD, relaxed with GGA-PBE.

Atomic structure:
```
data_ErSbN2O
_chemical_formula_sum 'Er4 Sb4 N8 O4'
_space_group_name_H-M_alt 'I m a 2'
_space_group_IT_number 46
_cell_length_a 8.1418
_cell_length_b 5.5241
_cell_length_c 5.6087
_cell_angle_alpha 90.00
_cell_angle_beta 90.00
_cell_angle_gamma 90.00
loop_
_space_group_symop_operation_xyz
'x,y,z'
'-x,-y,z'
'-x+1/2,y,z'
'x+1/2,-y,z'
'x+1/2,y+1/2,z+1/2'
'-x+1/2,-y+1/2,z+1/2'
'-x,y+1/2,z+1/2'
'x,-y+1/2,z+1/2'
loop_
_atom_site_label
_atom_site_type_symbol
_atom_site_fract_x
_atom_site_fract_y
_atom_site_fract_z
_atom_site_occupancy
Er1 Er 0.2500 0.0339 0.0000 1
Sb1 Sb 0.0000 0.0000 0.5053 1
N1 N 0.0726 0.2480 0.2540 1
O1 O 0.2500 0.6237 0.0181 1
```

Main lines, by angle (2θ = 15–90°):
2theta, I_rel, (hkl)
31.62, 100, 2 1 1
31.91, 25, 0 0 2
32.41, 19, 0 2 0
44.51, 12, 4 0 0
46.13, 21, 0 2 2
55.81, 13, 4 0 2
56.68, 19, 2 1 3
57.32, 17, 2 3 1

***

# 2
This entry pairs a crystal structure of GaPt9 with its simulated XRD peak list. Radiation: Cu Kα. Structure: a crystal structure in OQMD, relaxed with GGA-PBE.

Atomic structure:
```
data_GaPt9
_chemical_formula_sum 'Ga2 Pt18'
_space_group_name_H-M_alt 'P 4/n m m'
_space_group_IT_number 129
_cell_length_a 2.7995
_cell_length_b 2.7995
_cell_length_c 53.0392
_cell_angle_alpha 90.00
_cell_angle_beta 90.00
_cell_angle_gamma 90.00
loop_
_space_group_symop_operation_xyz
'x,y,z'
'-x,-y,-z'
'-y+1/2,x,z'
'y+1/2,-x,-z'
'-x+1/2,-y+1/2,z'
'x+1/2,y+1/2,-z'
'y,-x+1/2,z'
'-y,x+1/2,-z'
'x+1/2,-y,-z'
'-x+1/2,y,z'
'-y,-x,-z'
'y,x,z'
'-x,y+1/2,-z'
'x,-y+1/2,z'
'y+1/2,x+1/2,-z'
'-y+1/2,-x+1/2,z'
loop_
_atom_site_label
_atom_site_type_symbol
_atom_site_fract_x
_atom_site_fract_y
_atom_site_fract_z
_atom_site_occupancy
Ga1 Ga 0.2500 0.2500 0.1429 1
Pt1 Pt 0.2500 0.2500 0.2181 1
Pt2 Pt 0.2500 0.2500 0.2934 1
Pt3 Pt 0.2500 0.2500 0.3687 1
Pt4 Pt 0.2500 0.2500 0.4439 1
Pt5 Pt 0.2500 0.2500 0.5187 1
Pt6 Pt 0.2500 0.2500 0.5936 1
Pt7 Pt 0.2500 0.2500 0.6690 1
Pt8 Pt 0.2500 0.2500 0.7441 1
Pt9 Pt 0.2500 0.2500 0.8214 1
```

Main lines, by angle (2θ = 15–90°):
2theta, I_rel, (hkl)
39.02, 100, 1 0 13
40.05, 43, 1 0 14
45.85, 46, 1 1 0
65.73, 14, 1 1 26
66.84, 15, 2 0 0
67.13, 17, 1 1 27
80.08, 14, 1 0 40
80.20, 26, 2 1 13